[1]
The following is a simulated XRD peak list of MnP3O9. It was derived from a PBE+U-relaxed structure, using λ = 1.5418 Å (Cu Kα).

Atomic structure:
Lattice parameters (Å, degrees): 8.389 8.407 9.067 90.00 90.00 90.00
Space group P2_12_12_1 (No. 19)
One atom of each set of equivalent atoms:
Mn1 0.139 0.140 0.354 x4
P1 0.034 0.677 0.805 x4
P2 0.174 0.510 0.304 x4
P3 0.205 0.194 0.943 x4
O1 0.044 0.226 0.849 x4
O2 0.088 0.118 0.589 x4
O3 0.089 0.593 0.179 x4
O4 0.095 0.366 0.371 x4
O5 0.137 0.815 0.857 x4
O6 0.151 0.536 0.747 x4
O7 0.160 0.164 0.099 x4
O8 0.187 0.917 0.357 x4
O9 0.212 0.632 0.435 x4

Principal peaks in the range 10 to 80 degrees two-theta, sorted by position:
| two_theta | d [Å] | I (rel.) |
| --- | --- | --- |
| 22.29 | 3.988 | 1000 |
| 23.68 | 3.757 | 753 |
| 25.68 | 3.470 | 457 |
| 31.46 | 2.844 | 263 |
| 33.53 | 2.673 | 287 |
| 33.72 | 2.658 | 305 |



[2]
The following is a simulated XRD peak list of MnPO4. It was derived from a PBE+U-relaxed structure, using λ = 1.5418 Å (Cu Kα).

Atomic structure:
Lattice parameters (Å, degrees): 10.106 5.112 7.733 90.00 90.00 90.00
Space group Pna2_1 (No. 33)
One atom of each set of equivalent atoms:
Mn1 0.150 0.175 0.000 x4
P1 0.087 0.659 0.752 x4
O1 0.058 0.268 0.206 x4
O2 0.092 0.366 0.804 x4
O3 0.135 0.824 0.906 x4
O4 0.173 0.697 0.589 x4

Principal peaks in the range 10 to 80 degrees two-theta, sorted by position:
| two_theta | d [Å] | I (rel.) |
| --- | --- | --- |
| 20.83 | 4.264 | 919 |
| 21.00 | 4.230 | 1000 |
| 22.63 | 3.929 | 234 |
| 29.08 | 3.071 | 183 |
| 30.30 | 2.949 | 179 |
| 35.53 | 2.527 | 166 |